No. 1
Diffraction record for NbVSn4. The X-ray powder pattern is simulated, not measured: it uses a crystal structure in Alexandria, relaxed with PBE and Cu Kα (weighted mean of Kα1 and Kα2).
No peak broadening, texture or thermal motion is included.

Principal peaks in the range 2θ from 5° to 70°, low angle first:
d (Å), Position (°2θ), I_rel
2.945, 30.3, 1000
2.829, 31.6, 196
2.441, 36.8, 390
2.372, 37.9, 866
2.178, 41.5, 433
2.157, 41.9, 565
1.515, 61.2, 165
1.461, 63.7, 198
1.429, 65.3, 239
1.398, 66.9, 330

Atomic structure:
abc: 6.8214 6.8214 11.3180
angles: 90.00 90.00 90.00
Space group I4/mcm (No. 140)
Inequivalent atoms, fractional coordinates:
Nb 0.0000 0.0000 0.0000 [4 per cell]
V 0.0000 0.0000 0.2500 [4 per cell]
Sn 0.1604 0.3396 0.1349 [16 per cell]



No. 2
Diffraction record for Nb3V8Sn. The X-ray powder pattern is simulated, not measured: it uses a crystal structure in Alexandria, relaxed with PBE and Cu Kα (weighted mean of Kα1 and Kα2).
No peak broadening, texture or thermal motion is included.

Principal peaks in the range 2θ from 5° to 70°, low angle first:
d (Å), Position (°2θ), I_rel
3.020, 29.6, 100
2.528, 35.5, 566
2.347, 38.3, 954
2.189, 41.2, 144
2.162, 41.8, 1000
2.117, 42.7, 623
2.085, 43.4, 94
1.459, 63.8, 101
1.422, 65.7, 361
1.378, 68.1, 220

Atomic structure:
abc: 5.0557 5.0557 8.3420
angles: 90.00 90.00 120.00
Space group P3m1 (No. 156)
Inequivalent atoms, fractional coordinates:
Nb 0.0000 0.0000 0.0000 [1 per cell]
Nb 0.0000 0.0000 0.3697 [1 per cell]
Nb 0.3333 0.6667 0.8790 [1 per cell]
V 0.0033 0.5016 0.1834 [3 per cell]
V 0.3273 0.1636 0.6923 [3 per cell]
V 0.6667 0.3333 0.4311 [1 per cell]
V 0.6667 0.3333 0.9359 [1 per cell]
Sn 0.3333 0.6667 0.5017 [1 per cell]



No. 3
Diffraction record for Nb5V2Sn4. The X-ray powder pattern is simulated, not measured: it uses a crystal structure in Alexandria, relaxed with PBE and Cu Kα (weighted mean of Kα1 and Kα2).
No peak broadening, texture or thermal motion is included.

Principal peaks in the range 2θ from 5° to 70°, low angle first:
d (Å), Position (°2θ), I_rel
2.807, 31.9, 366
2.499, 35.9, 333
2.447, 36.7, 693
2.402, 37.4, 1000
2.341, 38.5, 790
2.314, 38.9, 687
2.307, 39.0, 710
2.291, 39.3, 690
2.222, 40.6, 512
2.118, 42.7, 355

Atomic structure:
abc: 7.4655 2.9553 9.4195
angles: 90.00 94.55 90.00
Space group P2/m (No. 10)
Inequivalent atoms, fractional coordinates:
Nb 0.0000 0.0000 0.0000 [1 per cell]
Nb 0.0592 0.0000 0.3031 [2 per cell]
Nb 0.3226 0.0000 0.8443 [2 per cell]
V 0.4389 0.0000 0.3726 [2 per cell]
Sn 0.2328 0.5000 0.5657 [2 per cell]
Sn 0.3224 0.5000 0.1236 [2 per cell]



No. 4
Diffraction record for Sr3NbZn. The X-ray powder pattern is simulated, not measured: it uses a crystal structure in Alexandria, relaxed with PBE and Cu Kα (weighted mean of Kα1 and Kα2).
No peak broadening, texture or thermal motion is included.

Principal peaks in the range 2θ from 5° to 70°, low angle first:
d (Å), Position (°2θ), I_rel
5.960, 14.9, 113
4.214, 21.1, 166
3.441, 25.9, 870
2.980, 30.0, 1000
2.433, 36.9, 75
2.107, 42.9, 738
1.797, 50.8, 401
1.720, 53.2, 258
1.490, 62.3, 119
1.367, 68.6, 164

Atomic structure:
abc: 5.9599 5.9599 5.9599
angles: 90.00 90.00 90.00
Space group Pm-3m (No. 221)
Inequivalent atoms, fractional coordinates:
Sr 0.0000 0.0000 0.5000 [3 per cell]
Nb 0.5000 0.5000 0.5000 [1 per cell]
Zn 0.0000 0.0000 0.0000 [1 per cell]



No. 5
Diffraction record for Ta7Nb5. The X-ray powder pattern is simulated, not measured: it uses a crystal structure in Alexandria, relaxed with PBE and Cu Kα (weighted mean of Kα1 and Kα2).
No peak broadening, texture or thermal motion is included.

Principal peaks in the range 2θ from 5° to 70°, low angle first:
d (Å), Position (°2θ), I_rel
10.033, 8.8, 65
6.282, 14.1, 46
2.350, 38.3, 1000
2.335, 38.5, 491
1.672, 54.9, 88
1.654, 55.6, 85
1.649, 55.7, 84
1.360, 69.1, 176
1.352, 69.5, 173
1.350, 69.6, 173

Atomic structure:
abc: 6.6141 20.0661 3.2985
angles: 90.00 90.00 90.00
Space group Cmmm (No. 65)
Inequivalent atoms, fractional coordinates:
Ta 0.0000 0.0000 0.0000 [2 per cell]
Ta 0.0000 0.1660 0.0000 [4 per cell]
Ta 0.2486 0.4168 0.5000 [8 per cell]
Nb 0.0000 0.3319 0.0000 [4 per cell]
Nb 0.0000 0.5000 0.0000 [2 per cell]
Nb 0.2500 0.2500 0.5000 [4 per cell]



No. 6
Diffraction record for Ta3Nb. The X-ray powder pattern is simulated, not measured: it uses a crystal structure in Alexandria, relaxed with PBE and Cu Kα (weighted mean of Kα1 and Kα2).
No peak broadening, texture or thermal motion is included.

Principal peaks in the range 2θ from 5° to 70°, low angle first:
d (Å), Position (°2θ), I_rel
5.429, 16.3, 21
3.549, 25.1, 17
3.321, 26.8, 21
2.425, 37.1, 11
2.348, 38.3, 1000
1.663, 55.2, 58
1.659, 55.4, 115
1.486, 62.5, 8
1.356, 69.3, 235
1.355, 69.4, 118

Atomic structure:
abc: 6.6526 9.3928 4.6899
angles: 90.00 90.00 90.00
Space group Cmcm (No. 63)
Inequivalent atoms, fractional coordinates:
Ta 0.0000 0.1209 0.2500 [4 per cell]
Ta 0.2466 0.3747 0.2500 [8 per cell]
Nb 0.0000 0.3719 0.7500 [4 per cell]



No. 7
Diffraction record for Ta4Nb. The X-ray powder pattern is simulated, not measured: it uses a crystal structure in Alexandria, relaxed with PBE and Cu Kα (weighted mean of Kα1 and Kα2).
No peak broadening, texture or thermal motion is included.

Principal peaks in the range 2θ from 5° to 70°, low angle first:
d (Å), Position (°2θ), I_rel
4.589, 19.3, 65
2.463, 36.5, 1000
2.327, 38.7, 128
2.075, 43.6, 100
2.052, 44.1, 235
1.891, 48.1, 96
1.539, 60.1, 66
1.530, 60.5, 68
1.491, 62.3, 119
1.368, 68.6, 142

Atomic structure:
abc: 6.4898 6.4898 4.6534
angles: 90.00 90.00 90.00
Space group P4/nbm (No. 125, origin choice 2)
Inequivalent atoms, fractional coordinates:
Ta 0.0947 0.5947 0.2305 [8 per cell]
Nb 0.2500 0.2500 0.5000 [2 per cell]



No. 8
Diffraction record for TaNb6. The X-ray powder pattern is simulated, not measured: it uses a crystal structure in Alexandria, relaxed with PBE and Cu Kα (weighted mean of Kα1 and Kα2).
No peak broadening, texture or thermal motion is included.

Principal peaks in the range 2θ from 5° to 70°, low angle first:
d (Å), Position (°2θ), I_rel
6.495, 13.6, 160
4.616, 19.2, 170
2.916, 30.7, 124
2.656, 33.7, 85
2.308, 39.0, 505
2.302, 39.1, 1000
2.175, 41.5, 42
1.742, 52.5, 49
1.632, 56.4, 170
1.624, 56.7, 83

Atomic structure:
abc: 4.6156 4.6156 6.4947
angles: 90.00 90.00 90.00
Space group P4/mmm (No. 123)
Inequivalent atoms, fractional coordinates:
Ta 0.0000 0.0000 0.0000 [1 per cell]
Nb 0.0000 0.0000 0.5000 [1 per cell]
Nb 0.0000 0.5000 0.2548 [4 per cell]
Nb 0.5000 0.5000 0.0000 [1 per cell]



No. 9
Diffraction record for Ta7Nb3. The X-ray powder pattern is simulated, not measured: it uses a crystal structure in Alexandria, relaxed with PBE and Cu Kα (weighted mean of Kα1 and Kα2).
No peak broadening, texture or thermal motion is included.

Principal peaks in the range 2θ from 5° to 70°, low angle first:
d (Å), Position (°2θ), I_rel
2.935, 30.5, 146
2.587, 34.7, 688
2.340, 38.5, 530
2.240, 40.3, 1000
2.154, 41.9, 115
1.584, 58.2, 133
1.551, 59.6, 100
1.494, 62.1, 229
1.492, 62.2, 110
1.468, 63.4, 85

Atomic structure:
abc: 8.9679 8.9679 5.4797
angles: 90.00 90.00 120.00
Space group P6_3/mmc (No. 194)
Inequivalent atoms, fractional coordinates:
Ta 0.0000 0.5000 0.0000 [6 per cell]
Ta 0.1219 0.2437 0.2500 [6 per cell]
Ta 0.3333 0.6667 0.2500 [2 per cell]
Nb 0.2178 0.4357 0.7500 [6 per cell]



No. 10
Diffraction record for Ta3Nb2. The X-ray powder pattern is simulated, not measured: it uses a crystal structure in Alexandria, relaxed with PBE and Cu Kα (weighted mean of Kα1 and Kα2).
No peak broadening, texture or thermal motion is included.

Principal peaks in the range 2θ from 5° to 70°, low angle first:
d (Å), Position (°2θ), I_rel
8.315, 10.6, 15
4.157, 21.4, 23
3.246, 27.5, 53
2.344, 38.4, 1000
2.040, 44.4, 15
1.663, 55.2, 58
1.655, 55.5, 115
1.474, 63.0, 12
1.356, 69.3, 118
1.352, 69.5, 233

Atomic structure:
abc: 3.3100 3.3100 16.6300
angles: 90.00 90.00 90.00
Space group I4/mmm (No. 139)
Inequivalent atoms, fractional coordinates:
Ta 0.0000 0.0000 0.0000 [2 per cell]
Ta 0.0000 0.0000 0.1997 [4 per cell]
Nb 0.0000 0.0000 0.4000 [4 per cell]



No. 11
Diffraction record for Ta3Nb4. The X-ray powder pattern is simulated, not measured: it uses a crystal structure in Alexandria, relaxed with PBE and Cu Kα (weighted mean of Kα1 and Kα2).
No peak broadening, texture or thermal motion is included.

Principal peaks in the range 2θ from 5° to 70°, low angle first:
d (Å), Position (°2θ), I_rel
6.467, 13.7, 486
2.562, 35.0, 431
2.452, 36.7, 1000
2.438, 36.9, 997
2.436, 36.9, 987
2.381, 37.8, 742
2.170, 41.6, 397
2.009, 45.1, 445
1.963, 46.2, 380
1.413, 66.1, 343

Atomic structure:
abc: 14.9083 2.7288 7.4383
angles: 90.00 119.62 90.00
Space group C2/m (No. 12)
Inequivalent atoms, fractional coordinates:
Ta 0.0000 0.0000 0.0000 [2 per cell]
Ta 0.2187 0.0000 0.1424 [4 per cell]
Nb 0.0727 0.0000 0.7099 [4 per cell]
Nb 0.1410 0.5000 0.4167 [4 per cell]



No. 12
Diffraction record for Ta5Nb2. The X-ray powder pattern is simulated, not measured: it uses a crystal structure in Alexandria, relaxed with PBE and Cu Kα (weighted mean of Kα1 and Kα2).
No peak broadening, texture or thermal motion is included.

Principal peaks in the range 2θ from 5° to 70°, low angle first:
d (Å), Position (°2θ), I_rel
11.659, 7.6, 175
5.829, 15.2, 20
3.044, 29.3, 18
2.698, 33.2, 30
2.347, 38.3, 1000
2.339, 38.5, 495
1.666, 55.1, 88
1.654, 55.6, 175
1.357, 69.2, 177
1.352, 69.5, 350

Atomic structure:
abc: 3.3082 3.3082 23.3173
angles: 90.00 90.00 90.00
Space group I4/mmm (No. 139)
Inequivalent atoms, fractional coordinates:
Ta 0.0000 0.0000 0.0000 [2 per cell]
Ta 0.0000 0.0000 0.1432 [4 per cell]
Ta 0.0000 0.0000 0.4285 [4 per cell]
Nb 0.0000 0.0000 0.2855 [4 per cell]



No. 13
Diffraction record for Ta2Nb5Tc. The X-ray powder pattern is simulated, not measured: it uses a crystal structure in Alexandria, relaxed with PBE and Cu Kα (weighted mean of Kα1 and Kα2).
No peak broadening, texture or thermal motion is included.

Principal peaks in the range 2θ from 5° to 70°, low angle first:
d (Å), Position (°2θ), I_rel
2.995, 29.8, 85
2.385, 37.7, 155
2.375, 37.9, 1000
2.332, 38.6, 628
2.322, 38.8, 490
2.219, 40.7, 339
2.190, 41.2, 127
1.730, 52.9, 87
1.604, 57.4, 244
1.350, 69.6, 164

Atomic structure:
abc: 5.5597 11.0528 4.6439
angles: 90.00 90.00 90.00
Space group Pbam (No. 55)
Inequivalent atoms, fractional coordinates:
Ta 0.1550 0.1119 0.0000 [4 per cell]
Nb 0.0000 0.5000 0.5000 [2 per cell]
Nb 0.1440 0.7539 0.5000 [4 per cell]
Nb 0.1572 0.3723 0.0000 [4 per cell]
Tc 0.0000 0.0000 0.5000 [2 per cell]



No. 14
Diffraction record for Ta5Nb4Tc. The X-ray powder pattern is simulated, not measured: it uses a crystal structure in Alexandria, relaxed with PBE and Cu Kα (weighted mean of Kα1 and Kα2).
No peak broadening, texture or thermal motion is included.

Principal peaks in the range 2θ from 5° to 70°, low angle first:
d (Å), Position (°2θ), I_rel
3.330, 26.8, 54
3.268, 27.3, 108
2.332, 38.6, 1000
2.311, 39.0, 494
1.899, 47.9, 49
1.665, 55.2, 85
1.634, 56.3, 169
1.467, 63.4, 22
1.462, 63.7, 23
1.351, 69.6, 168

Atomic structure:
abc: 3.2684 3.2684 16.6478
angles: 90.00 90.00 90.00
Space group P4/mmm (No. 123)
Inequivalent atoms, fractional coordinates:
Ta 0.0000 0.0000 0.0000 [1 per cell]
Ta 0.0000 0.0000 0.2034 [2 per cell]
Ta 0.0000 0.0000 0.4061 [2 per cell]
Nb 0.5000 0.5000 0.1012 [2 per cell]
Nb 0.5000 0.5000 0.3030 [2 per cell]
Tc 0.5000 0.5000 0.5000 [1 per cell]